No. 1
The following is a calculated XRD peak list of Er4CuGe8. It was derived from a GGA-PBE-relaxed structure, using Cu Kα (λ = 1.5418 Å).
No peak broadening, texture or thermal motion is included.

Cell and atoms:
```
data_Er4CuGe8
_space_group_name_H-M_alt 'P m m 2'
_space_group_IT_number 25
_space_group_name_Hall 'P 2 -2'
_cell_length_a 3.9472
_cell_length_b 4.0444
_cell_length_c 16.3565
_cell_angle_alpha 90.00
_cell_angle_beta 90.00
_cell_angle_gamma 90.00
loop_
_atom_site_label
_atom_site_type_symbol
_atom_site_fract_x
_atom_site_fract_y
_atom_site_fract_z
_atom_site_occupancy
Er1 Er 0.0000 0.0000 0.0000 1
Er2 Er 0.0000 0.5000 0.4909 1
Er3 Er 0.5000 0.0000 0.7903 1
Er4 Er 0.5000 0.5000 0.2846 1
Cu1 Cu 0.0000 0.5000 0.7150 1
Ge1 Ge 0.0000 0.0000 0.3372 1
Ge2 Ge 0.0000 0.0000 0.6293 1
Ge3 Ge 0.0000 0.5000 0.1405 1
Ge4 Ge 0.0000 0.5000 0.8571 1
Ge5 Ge 0.5000 0.0000 0.1438 1
Ge6 Ge 0.5000 0.0000 0.4384 1
Ge7 Ge 0.5000 0.5000 0.6284 1
Ge8 Ge 0.5000 0.5000 0.9537 1
```

Largest 8 diffraction maxima, by angle, 10° ≤ 2θ ≤ 90°:
| Position (°2θ) | I_rel |
| --- | --- |
| 25.05 | 16 |
| 32.85 | 14 |
| 35.29 | 21 |
| 35.80 | 100 |
| 40.20 | 16 |
| 44.82 | 19 |
| 45.99 | 17 |
| 66.16 | 11 |



No. 2
The following is a calculated XRD peak list of NaMg6Al. It was derived from a GGA-PBE-relaxed structure, using Cu Kα (λ = 1.5418 Å).
No peak broadening, texture or thermal motion is included.

Cell and atoms:
```
data_NaMg6Al
_space_group_name_H-M_alt 'A m m 2'
_space_group_IT_number 38
_space_group_name_Hall 'A 2 -2'
_cell_length_a 5.1543
_cell_length_b 6.4256
_cell_length_c 11.0961
_cell_angle_alpha 90.00
_cell_angle_beta 90.00
_cell_angle_gamma 90.00
loop_
_atom_site_label
_atom_site_type_symbol
_atom_site_fract_x
_atom_site_fract_y
_atom_site_fract_z
_atom_site_occupancy
Na1 Na 0.0000 0.0000 0.0000 1
Mg1 Mg 0.0000 0.0000 0.4973 1
Mg2 Mg 0.0000 0.2441 0.2473 1
Mg3 Mg 0.5000 0.0000 0.6648 1
Mg4 Mg 0.5000 0.2462 0.4146 1
Al1 Al 0.5000 0.0000 0.1684 1
```

Largest 8 diffraction maxima, by angle, 10° ≤ 2θ ≤ 90°:
| Position (°2θ) | I_rel |
| --- | --- |
| 32.22 | 24 |
| 34.81 | 26 |
| 36.75 | 100 |
| 48.16 | 15 |
| 57.50 | 11 |
| 63.68 | 18 |
| 69.00 | 13 |
| 70.11 | 9 |